No. 1
The following is a calculated X-ray diffraction stick pattern of K2CuCl4O2. It was derived from a PBE-relaxed structure, using Cu Ka.
Neutral-atom scattering factors, no anomalous dispersion.

Most intense lines, 2θ = 10–90°, sorted by position:
5.414 Å, I 88; 4.168 Å, I 23; 3.211 Å, I 69; 3.185 Å, I 14; 2.975 Å, I 44; 2.707 Å, I 81; 2.518 Å, I 100; 2.084 Å, I 28; 1.981 Å, I 23; 1.780 Å, I 26; 1.605 Å, I 38; 1.354 Å, I 17

Atomic structure:
abc: 7.121 7.121 8.335
angles: 90.00 90.00 90.00
Space group P4_2/mnm (No. 136)
Unique sites:
K 0.000 0.500 0.250 [4 per cell]
Cu 0.000 0.000 0.000 [2 per cell]
Cl 0.215 0.215 0.500 [4 per cell]
Cl 0.220 0.220 0.000 [4 per cell]
O 0.000 0.000 0.210 [4 per cell]

***

No. 2
The following is a calculated X-ray diffraction stick pattern of Mo2N3. It was derived from a PBE-relaxed structure, using Cu Ka.
Neutral-atom scattering factors, no anomalous dispersion.

Most intense lines, 2θ = 10–90°, sorted by position:
5.472 Å, I 42; 4.913 Å, I 100; 4.469 Å, I 26; 4.135 Å, I 55; 4.072 Å, I 21; 3.170 Å, I 45; 2.763 Å, I 22; 2.690 Å, I 39; 2.623 Å, I 18; 2.585 Å, I 27; 2.484 Å, I 32; 2.391 Å, I 17

Atomic structure:
abc: 5.816 6.125 10.354
angles: 77.25 76.11 86.12
Space group P-1 (No. 2)
Unique sites:
Mo 0.069 0.466 0.348 [2 per cell]
Mo 0.119 0.099 0.694 [2 per cell]
Mo 0.329 0.155 0.198 [2 per cell]
Mo 0.412 0.285 0.825 [2 per cell]
N 0.007 0.811 0.697 [2 per cell]
N 0.095 0.293 0.532 [2 per cell]
N 0.099 0.348 0.798 [2 per cell]
N 0.373 0.220 0.012 [2 per cell]
N 0.387 0.456 0.245 [2 per cell]
N 0.436 0.027 0.724 [2 per cell]

***

No. 3
The following is a calculated X-ray diffraction stick pattern of CsReF6. It was derived from a PBE-relaxed structure, using Cu Ka.
Neutral-atom scattering factors, no anomalous dispersion.

Most intense lines, 2θ = 10–90°, sorted by position:
5.341 Å, I 17; 4.029 Å, I 100; 3.567 Å, I 75; 2.671 Å, I 26; 2.326 Å, I 17; 2.226 Å, I 55; 2.015 Å, I 13; 1.783 Å, I 13; 1.754 Å, I 16; 1.631 Å, I 22; 1.523 Å, I 15; 1.494 Å, I 12

Atomic structure:
abc: 8.0585 8.0585 8.2992
angles: 90.00 90.00 120.00
Space group R-3 (No. 148, hexagonal axes)
Unique sites:
Cs 0.0000 0.0000 0.0000 [3 per cell]
Re 0.0000 0.0000 0.5000 [3 per cell]
F 0.0594 0.8431 0.6352 [18 per cell]

***

No. 4
The following is a calculated X-ray diffraction stick pattern of DyIn7Cu5. It was derived from a PBE-relaxed structure, using Cu Ka.
Neutral-atom scattering factors, no anomalous dispersion.

Most intense lines, 2θ = 10–90°, sorted by position:
2.747 Å, I 59; 2.734 Å, I 42; 2.379 Å, I 100; 2.372 Å, I 84; 2.365 Å, I 20; 2.126 Å, I 63; 2.118 Å, I 16; 1.503 Å, I 24; 1.374 Å, I 29; 1.373 Å, I 10; 1.367 Å, I 25; 1.121 Å, I 9

Atomic structure:
abc: 5.491 9.460 9.528
angles: 90.00 90.00 90.00
Space group Imm2 (No. 44)
Unique sites:
Dy 0.000 0.000 0.000 [2 per cell]
In 0.000 0.000 0.334 [2 per cell]
In 0.000 0.000 0.657 [2 per cell]
In 0.000 0.304 0.512 [4 per cell]
In 0.000 0.341 0.987 [4 per cell]
In 0.000 0.500 0.278 [2 per cell]
Cu 0.000 0.500 0.726 [2 per cell]
Cu 0.248 0.245 0.251 [8 per cell]

***

No. 5
The following is a calculated X-ray diffraction stick pattern of Sr3Ta7SiBi9O36. It was derived from a PBE-relaxed structure, using Cu Ka.
Neutral-atom scattering factors, no anomalous dispersion.

Most intense lines, 2θ = 10–90°, sorted by position:
3.613 Å, I 12; 3.142 Å, I 100; 3.106 Å, I 48; 3.087 Å, I 42; 2.834 Å, I 32; 2.787 Å, I 35; 2.516 Å, I 17; 1.991 Å, I 15; 1.983 Å, I 16; 1.887 Å, I 16; 1.690 Å, I 10; 1.678 Å, I 11

Atomic structure:
abc: 5.576 11.336 13.996
angles: 113.55 100.29 90.24
Space group P1 (No. 1)
Unique sites:
Sr 0.000 0.000 0.000 [1 per cell]
Sr 0.011 0.489 0.985 [1 per cell]
Sr 0.499 0.755 0.000 [1 per cell]
Ta 0.084 0.840 0.169 [1 per cell]
Ta 0.087 0.344 0.165 [1 per cell]
Ta 0.422 0.919 0.827 [1 per cell]
Ta 0.438 0.429 0.826 [1 per cell]
Ta 0.577 0.090 0.162 [1 per cell]
Ta 0.584 0.587 0.158 [1 per cell]
Ta 0.921 0.676 0.832 [1 per cell]
Si 0.913 0.143 0.835 [1 per cell]
Bi 0.249 0.187 0.418 [1 per cell]
Bi 0.253 0.680 0.399 [1 per cell]
Bi 0.272 0.527 0.597 [1 per cell]
Bi 0.285 0.019 0.602 [1 per cell]
Bi 0.489 0.237 0.981 [1 per cell]
Bi 0.694 0.420 0.404 [1 per cell]
Bi 0.702 0.940 0.411 [1 per cell]
Bi 0.839 0.766 0.599 [1 per cell]
Bi 0.855 0.272 0.636 [1 per cell]
O 0.006 0.363 0.493 [1 per cell]
O 0.015 0.109 0.510 [1 per cell]
O 0.016 0.609 0.492 [1 per cell]
O 0.149 0.560 0.855 [1 per cell]
O 0.154 0.064 0.864 [1 per cell]
O 0.212 0.419 0.307 [1 per cell]
O 0.214 0.920 0.313 [1 per cell]
O 0.216 0.813 0.864 [1 per cell]
O 0.262 0.354 0.682 [1 per cell]
O 0.277 0.853 0.682 [1 per cell]
O 0.280 0.312 0.870 [1 per cell]
O 0.292 0.198 0.119 [1 per cell]
O 0.293 0.696 0.131 [1 per cell]
O 0.322 0.954 0.134 [1 per cell]
O 0.332 0.436 0.116 [1 per cell]
O 0.501 0.864 0.501 [1 per cell]
O 0.503 0.368 0.508 [1 per cell]
O 0.516 0.612 0.500 [1 per cell]
O 0.521 0.113 0.514 [1 per cell]
O 0.542 0.020 0.994 [1 per cell]
O 0.559 0.531 0.993 [1 per cell]
O 0.577 0.654 0.303 [1 per cell]
O 0.578 0.183 0.308 [1 per cell]
O 0.616 0.586 0.819 [1 per cell]
O 0.638 0.068 0.823 [1 per cell]
O 0.707 0.828 0.826 [1 per cell]
O 0.729 0.350 0.807 [1 per cell]
O 0.806 0.737 0.173 [1 per cell]
O 0.811 0.230 0.157 [1 per cell]
O 0.839 0.981 0.165 [1 per cell]
O 0.858 0.477 0.153 [1 per cell]
O 0.915 0.257 0.960 [1 per cell]
O 0.921 0.127 0.712 [1 per cell]
O 0.921 0.624 0.683 [1 per cell]
O 0.949 0.769 0.995 [1 per cell]
O 0.998 0.863 0.496 [1 per cell]

***

No. 6
The following is a calculated X-ray diffraction stick pattern of EuCd3. It was derived from a PBE-relaxed structure, using Cu Ka.
Neutral-atom scattering factors, no anomalous dispersion.

Most intense lines, 2θ = 10–90°, sorted by position:
4.278 Å, I 1; 3.705 Å, I 1; 2.620 Å, I 100; 2.234 Å, I 1; 1.853 Å, I 18; 1.513 Å, I 35; 1.310 Å, I 11; 1.172 Å, I 15

Atomic structure:
abc: 7.410 7.410 7.410
angles: 90.00 90.00 90.00
Space group Fm-3m (No. 225)
Unique sites:
Eu 0.000 0.000 0.000 [4 per cell]
Cd 0.000 0.000 0.500 [4 per cell]
Cd 0.250 0.250 0.250 [8 per cell]

***

No. 7
The following is a calculated X-ray diffraction stick pattern of CsHF2. It was derived from a PBE-relaxed structure, using Cu Ka.
Neutral-atom scattering factors, no anomalous dispersion.

Most intense lines, 2θ = 10–90°, sorted by position:
5.249 Å, I 64; 3.966 Å, I 34; 3.164 Å, I 100; 2.804 Å, I 55; 2.473 Å, I 38; 2.189 Å, I 49; 1.983 Å, I 19; 1.855 Å, I 16; 1.680 Å, I 30; 1.485 Å, I 11; 1.470 Å, I 26; 1.246 Å, I 11

Atomic structure:
abc: 3.966 3.966 5.249
angles: 90.00 90.00 90.00
Space group P4/mmm (No. 123)
Unique sites:
Cs 0.000 0.000 0.000 [1 per cell]
H 0.500 0.500 0.500 [1 per cell]
F 0.500 0.500 0.280 [2 per cell]

***

No. 8
The following is a calculated X-ray diffraction stick pattern of ErNiGe. It was derived from a PBE-relaxed structure, using Cu Ka.
Neutral-atom scattering factors, no anomalous dispersion.

Most intense lines, 2θ = 10–90°, sorted by position:
3.640 Å, I 21; 2.551 Å, I 27; 2.492 Å, I 100; 2.282 Å, I 9; 2.175 Å, I 12; 2.105 Å, I 22; 2.099 Å, I 30; 1.608 Å, I 15; 1.547 Å, I 15; 1.513 Å, I 7; 1.346 Å, I 13; 1.278 Å, I 9

Atomic structure:
abc: 6.837 4.211 7.263
angles: 90.00 90.00 90.00
Space group Pnma (No. 62)
Unique sites:
Er 0.008 0.250 0.206 [4 per cell]
Ni 0.193 0.750 0.417 [4 per cell]
Ge 0.197 0.250 0.588 [4 per cell]

***

No. 9
The following is a calculated X-ray diffraction stick pattern of V3GaN. It was derived from a PBE-relaxed structure, using Cu Ka.
Neutral-atom scattering factors, no anomalous dispersion.

Most intense lines, 2θ = 10–90°, sorted by position:
2.689 Å, I 23; 2.337 Å, I 43; 2.315 Å, I 67; 2.243 Å, I 67; 2.157 Å, I 94; 2.144 Å, I 100; 1.971 Å, I 38; 1.935 Å, I 62; 1.490 Å, I 25; 1.290 Å, I 33; 1.224 Å, I 29; 1.173 Å, I 23

Atomic structure:
abc: 2.980 10.220 7.884
angles: 90.00 90.00 90.00
Space group Cmcm (No. 63)
Unique sites:
V 0.000 0.032 0.250 [4 per cell]
V 0.000 0.375 0.045 [8 per cell]
Ga 0.000 0.258 0.750 [4 per cell]
N 0.000 0.000 0.000 [4 per cell]

***

No. 10
The following is a calculated X-ray diffraction stick pattern of Cu2SnSe3. It was derived from a PBE-relaxed structure, using Cu Ka.
Neutral-atom scattering factors, no anomalous dispersion.

Most intense lines, 2θ = 10–90°, sorted by position:
3.341 Å, I 36; 3.333 Å, I 100; 2.044 Å, I 49; 2.040 Å, I 48; 1.745 Å, I 10; 1.742 Å, I 33; 1.740 Å, I 14; 1.445 Å, I 10; 1.324 Å, I 13; 1.180 Å, I 7; 1.178 Å, I 15; 1.112 Å, I 6

Atomic structure:
abc: 7.068 12.244 26.829
angles: 90.00 94.90 90.00
Space group Cc (No. 9)
Unique sites:
Cu 0.000 0.081 0.000 [4 per cell]
Cu 0.015 0.245 0.501 [4 per cell]
Cu 0.135 0.091 0.376 [4 per cell]
Cu 0.142 0.418 0.375 [4 per cell]
Cu 0.261 0.410 0.750 [4 per cell]
Cu 0.263 0.246 0.250 [4 per cell]
Cu 0.373 0.254 0.625 [4 per cell]
Cu 0.375 0.086 0.126 [4 per cell]
Sn 0.001 0.426 0.996 [4 per cell]
Sn 0.128 0.258 0.871 [4 per cell]
Sn 0.275 0.083 0.746 [4 per cell]
Sn 0.396 0.418 0.121 [4 per cell]
Se 0.017 0.417 0.097 [4 per cell]
Se 0.046 0.262 0.591 [4 per cell]
Se 0.048 0.097 0.090 [4 per cell]
Se 0.141 0.080 0.466 [4 per cell]
Se 0.173 0.401 0.466 [4 per cell]
Se 0.176 0.241 0.971 [4 per cell]
Se 0.268 0.252 0.340 [4 per cell]
Se 0.303 0.072 0.847 [4 per cell]
Se 0.306 0.429 0.841 [4 per cell]
Se 0.397 0.418 0.221 [4 per cell]
Se 0.432 0.095 0.216 [4 per cell]
Se 0.432 0.261 0.716 [4 per cell]

***

No. 11
The following is a calculated X-ray diffraction stick pattern of MgSnBiO5. It was derived from a PBE-relaxed structure, using Cu Ka.
Neutral-atom scattering factors, no anomalous dispersion.

Most intense lines, 2θ = 10–90°, sorted by position:
5.076 Å, I 100; 3.816 Å, I 48; 3.714 Å, I 98; 3.098 Å, I 92; 2.764 Å, I 33; 2.730 Å, I 31; 2.692 Å, I 49; 2.636 Å, I 44; 2.427 Å, I 29; 2.049 Å, I 32; 1.972 Å, I 26; 1.712 Å, I 31

Atomic structure:
abc: 5.443 11.055 8.720
angles: 90.00 111.17 90.00
Space group P2_1/c (No. 14)
Unique sites:
Mg 0.045 0.089 0.164 [4 per cell]
Sn 0.340 0.613 0.049 [4 per cell]
Bi 0.455 0.108 0.850 [4 per cell]
O 0.157 0.531 0.183 [4 per cell]
O 0.200 0.718 0.482 [4 per cell]
O 0.256 0.034 0.011 [4 per cell]
O 0.320 0.201 0.315 [4 per cell]
O 0.364 0.540 0.841 [4 per cell]